Diffraction record for V3O7. The powder X-ray diffraction pattern is computed, not measured: it uses DFT lattice parameters and positions (PBE+U) and Cu Kα, 1.54184 Å.
Kinematic intensities with the Lorentz-polarization factor, no thermal factor.

Structure:
Cell lengths 10.900, 10.900, 9.766 Å; angles 90.00, 90.00, 120.00 degrees
Fractional coordinates of all 60 atoms:
V: 0.118 0.810 0.000
V: 0.119 0.322 0.702
V: 0.156 0.840 0.351
V: 0.160 0.316 0.351
V: 0.190 0.308 0.000
V: 0.202 0.881 0.702
V: 0.308 0.190 0.500
V: 0.316 0.160 0.851
V: 0.322 0.119 0.202
V: 0.678 0.798 0.702
V: 0.684 0.844 0.351
V: 0.692 0.882 0.000
V: 0.798 0.678 0.202
V: 0.810 0.118 0.500
V: 0.840 0.156 0.851
V: 0.844 0.684 0.851
V: 0.881 0.202 0.202
V: 0.882 0.692 0.500
O: 0.033 0.287 0.895
O: 0.035 0.749 0.814
O: 0.076 0.820 0.533
O: 0.083 0.258 0.166
O: 0.161 0.482 0.665
O: 0.162 0.693 0.029
O: 0.175 0.917 0.166
O: 0.180 0.257 0.533
O: 0.239 0.754 0.348
O: 0.246 0.485 0.348
O: 0.251 0.286 0.814
O: 0.254 0.967 0.895
O: 0.257 0.180 0.033
O: 0.258 0.083 0.666
O: 0.286 0.251 0.314
O: 0.287 0.033 0.395
O: 0.307 0.469 0.029
O: 0.321 0.839 0.665
O: 0.469 0.307 0.529
O: 0.482 0.161 0.165
O: 0.485 0.246 0.848
O: 0.515 0.761 0.348
O: 0.518 0.679 0.665
O: 0.531 0.838 0.029
O: 0.679 0.518 0.165
O: 0.693 0.162 0.529
O: 0.713 0.746 0.895
O: 0.714 0.965 0.814
O: 0.742 0.825 0.166
O: 0.743 0.924 0.533
O: 0.746 0.713 0.395
O: 0.749 0.035 0.314
O: 0.754 0.239 0.848
O: 0.761 0.515 0.848
O: 0.820 0.076 0.033
O: 0.825 0.742 0.666
O: 0.838 0.531 0.529
O: 0.839 0.321 0.165
O: 0.917 0.175 0.666
O: 0.924 0.743 0.033
O: 0.965 0.714 0.314
O: 0.967 0.254 0.395

Principal peaks in the range 2θ = 10–80°, low angle first:
- 2θ = 16.26°, I = 57.6, (1 1 0)
- 2θ = 18.80°, I = 100.0, (2 0 0)
- 2θ = 24.48°, I = 13.4, (2 -1 2)
- 2θ = 26.60°, I = 14.2, (3 -1 1)
- 2θ = 29.01°, I = 20.2, (1 0 3)
- 2θ = 32.87°, I = 22.0, (2 2 0)
- 2θ = 33.44°, I = 40.8, (2 0 3)
- 2θ = 47.59°, I = 11.1, (4 0 3)
- 2θ = 47.93°, I = 9.1, (4 1 2)
- 2θ = 59.03°, I = 13.6, (6 -2 3)